CaTlBiPtN: theoretical powder X-ray diffraction pattern (Cu Kα, 1.54184 Å), based on a GGA-PBE-relaxed structure.
No peak broadening, texture or thermal motion is included.

Structural model:
a b c (Å): 11.841 5.928 3.749
angles (deg): 90.00 108.34 90.00
Fractional coordinates of all 10 atoms:
Ca  0.000  0.000  0.000
Ca  0.500  0.500  0.000
Tl  0.229  0.500  0.230
Tl  0.729  0.000  0.230
Bi  0.467  0.000  0.469
Bi  0.967  0.500  0.469
Pt  0.216  0.000  0.714
Pt  0.716  0.500  0.714
N  0.216  0.000  0.214
N  0.716  0.500  0.214

Most intense lines, 10° ≤ 2θ ≤ 80°, in order of rising 2θ:
d [Å], I (rel.), index
5.620, 9, 2 0 0
5.243, 13, 1 1 0
3.167, 12, 3 1 0
2.964, 33, 0 2 0
2.810, 28, 4 0 0
2.760, 100, 1 1 1
2.039, 22, 4 2 0
1.875, 10, 2 0 -2
1.669, 23, 1 3 1
1.614, 12, 5 1 1
1.611, 9, 7 1 -1
1.584, 11, 2 2 -2



LaYCdAg: theoretical powder X-ray diffraction pattern (Cu Kα, 1.54184 Å), based on a GGA-PBE-relaxed structure.
No peak broadening, texture or thermal motion is included.

Structural model:
a b c (Å): 3.749 3.749 7.729
angles (deg): 90.00 90.00 90.00
Fractional coordinates of all 4 atoms:
La  0.000  0.000  0.000
Y  0.000  0.000  0.483
Cd  0.500  0.500  0.724
Ag  0.500  0.500  0.270

Most intense lines, 10° ≤ 2θ ≤ 80°, in order of rising 2θ:
d [Å], I (rel.), index
3.374, 6, 1 0 1
2.691, 100, 1 0 2
2.651, 50, 1 1 0
1.932, 8, 0 0 4
1.875, 18, 2 0 0
1.848, 4, 1 1 3
1.562, 16, 1 1 4
1.538, 35, 2 1 2
1.429, 3, 1 0 5
1.346, 9, 2 0 4
1.326, 5, 2 2 0
1.218, 5, 1 0 6